Record 1
Diffraction record for Ac7Sm4Ho. The powder X-ray diffraction pattern is computed, not measured: it uses a DFT-relaxed cell (PBE, Alexandria) and Cu Kα X-rays.
Lines closer than 0.1° are merged.

Crystal structure
```
data_Ac7Sm4Ho
_cell_length_a 6.6986
_cell_length_b 7.6843
_cell_length_c 9.5768
_cell_angle_alpha 89.58
_cell_angle_beta 76.70
_cell_angle_gamma 89.87
_symmetry_space_group_name_H-M 'P -1'
_symmetry_Int_Tables_number 2
loop_
_symmetry_equiv_pos_as_xyz
'x,y,z'
'-x,-y,-z'
loop_
_atom_site_label
_atom_site_type_symbol
_atom_site_fract_x
_atom_site_fract_y
_atom_site_fract_z
_atom_site_occupancy
Ac1 Ac 0.0000 0.0000 0.0000 1
Ac2 Ac 0.2192 0.5004 0.3319 1
Ac3 Ac 0.2821 0.7539 0.6640 1
Ac4 Ac 0.4960 0.2489 0.9947 1
Sm1 Sm 0.2192 0.0005 0.3360 1
Sm2 Sm 0.2737 0.2482 0.6691 1
Ho1 Ho 0.0000 0.5000 0.0000 1
```

Main lines, low angle first (15° ≤ 2θ ≤ 90°):
h k l, Position (°2θ), I_rel
1 2 0, 26.94, 40
0 0 3, 28.74, 74
2 0 2, 29.62, 100
1 2 -1, 29.73, 49
2 0 -1, 31.12, 88
1 -2 2, 31.37, 43
3 2 1, 47.02, 20
2 0 -4, 53.35, 20
-3 2 2, 55.99, 24
0 4 3, 56.09, 24

Record 2
Diffraction record for CaCeB12. The powder X-ray diffraction pattern is computed, not measured: it uses a DFT-relaxed cell (PBE, Alexandria) and Cu Kα X-rays.
Lines closer than 0.1° are merged.

Crystal structure
```
data_CaCeB12
_cell_length_a 4.1301
_cell_length_b 4.1301
_cell_length_c 8.2731
_cell_angle_alpha 90.00
_cell_angle_beta 90.00
_cell_angle_gamma 90.00
_symmetry_space_group_name_H-M 'P 4/m m m'
_symmetry_Int_Tables_number 123
_symmetry_space_group_name_Hall '-P 4 2'
loop_
_atom_site_label
_atom_site_type_symbol
_atom_site_fract_x
_atom_site_fract_y
_atom_site_fract_z
_atom_site_occupancy
Ca1 Ca 0.0000 0.0000 0.0000 1
Ce1 Ce 0.0000 0.0000 0.5000 1
B1 B 0.2000 0.5000 0.2503 1
B2 B 0.5000 0.5000 0.1003 1
B3 B 0.5000 0.5000 0.4003 1
```

Main lines, low angle first (15° ≤ 2θ ≤ 90°):
h k l, Position (°2θ), I_rel
1 0 0, 21.50, 43
1 0 1, 24.08, 29
1 1 0, 30.60, 100
1 1 1, 32.50, 17
1 1 2, 37.71, 44
2 0 0, 43.82, 23
2 1 0, 49.31, 46
2 1 2, 54.38, 21
2 1 4, 68.05, 19
3 2 2, 88.54, 15

Record 3
Diffraction record for MgZn4Sn4O8. The powder X-ray diffraction pattern is computed, not measured: it uses a DFT-relaxed cell (PBE, Alexandria) and Cu Kα X-rays.
Lines closer than 0.1° are merged.

Crystal structure
```
data_MgZn4Sn4O8
_cell_length_a 3.2645
_cell_length_b 9.2007
_cell_length_c 10.2914
_cell_angle_alpha 82.69
_cell_angle_beta 87.89
_cell_angle_gamma 79.89
_symmetry_space_group_name_H-M 'P 1'
_symmetry_Int_Tables_number 1
loop_
_symmetry_equiv_pos_as_xyz
'x,y,z'
loop_
_atom_site_label
_atom_site_type_symbol
_atom_site_fract_x
_atom_site_fract_y
_atom_site_fract_z
_atom_site_occupancy
Mg1 Mg 0.0000 0.0000 0.0000 1
Zn1 Zn 0.4441 0.1511 0.2339 1
Zn2 Zn 0.4461 0.1640 0.7599 1
Zn3 Zn 0.6252 0.7620 0.9356 1
Zn4 Zn 0.8231 0.3526 0.9805 1
Sn1 Sn 0.0834 0.9546 0.5398 1
Sn2 Sn 0.1768 0.5977 0.2020 1
Sn3 Sn 0.2605 0.5412 0.7074 1
Sn4 Sn 0.8945 0.3321 0.4690 1
O1 O 0.0110 0.1268 0.3702 1
O2 O 0.1038 0.7783 0.0492 1
O3 O 0.3389 0.3488 0.8603 1
O4 O 0.5146 0.9945 0.8966 1
O5 O 0.7037 0.6346 0.7996 1
O6 O 0.7329 0.5059 0.1032 1
O7 O 0.9083 0.1624 0.1093 1
O8 O 0.9612 0.1602 0.6441 1
```

Main lines, low angle first (15° ≤ 2θ ≤ 90°):
h k l, Position (°2θ), I_rel
0 1 2, 18.91, 25
0 2 2, 24.74, 44
0 2 -2, 28.02, 100
1 1 2, 32.09, 88
0 3 2, 32.74, 61
1 0 -2, 33.17, 60
0 0 4, 35.17, 26
1 -2 0, 37.09, 34
1 3 0, 37.34, 44
0 5 0, 50.77, 32